Diffraction record for Ba14Ag6Ir3. The powder diffractogram is theoretical, not measured: it uses the GGA-PBE geometry in Alexandria and λ = 1.5418 Å (Cu Kα).

Cell and atoms:
abc: 11.7293 11.7293 8.0787
angles: 90.00 90.00 120.00
Sites, in units of the cell vectors:
Ba 0.0000 0.0000 0.0000
Ba 0.0886 0.5445 0.7047
Ba 0.2070 0.4146 0.2469
Ba 0.2075 0.7930 0.2469
Ba 0.2467 0.1236 0.5443
Ba 0.4188 0.2091 0.0332
Ba 0.4555 0.5441 0.7047
Ba 0.4559 0.9114 0.7047
Ba 0.5854 0.7925 0.2469
Ba 0.6667 0.3333 0.4913
Ba 0.7903 0.5812 0.0332
Ba 0.7909 0.2097 0.0332
Ba 0.8764 0.1231 0.5443
Ba 0.8769 0.7533 0.5443
Ag 0.1472 0.2953 0.8192
Ag 0.1481 0.8528 0.8192
Ag 0.5205 0.4784 0.3071
Ag 0.5216 0.0421 0.3071
Ag 0.7047 0.8519 0.8192
Ag 0.9579 0.4795 0.3071
Ir 0.0000 0.0000 0.3576
Ir 0.3333 0.6667 0.4709
Ir 0.6667 0.3333 0.8498

Top 12 peaks for 10 to 90 degrees two-theta, sorted by position:
2θ (°), d/Å, intensity, (hkl)
14.01, 6.323, 21, 0 1 1
15.11, 5.865, 22, 1 1 0
23.70, 3.753, 23, 1 0 2
25.69, 3.468, 100, 1 2 1
26.80, 3.327, 24, 1 1 2
28.23, 3.161, 80, 0 2 2
28.58, 3.123, 55, 0 3 1
30.48, 2.932, 79, 2 2 0
37.81, 2.379, 41, 2 0 3
42.91, 2.108, 27, 3 0 3
46.07, 1.970, 22, 5 0 1
46.45, 1.955, 33, 3 3 0